Diffraction record for MnV2Re. The X-ray diffraction stick pattern is simulated, not measured: it uses a cell relaxed with PBE and CuKα.
Intensities are scaled so that the largest is 100.

Principal peaks in the range 2θ = 10–80°, in order of rising 2θ:
| 2θ (°) | d_spacing | I_rel | index |
| --- | --- | --- | --- |
| 10.62 | 8.333 | 38.8 | 0 0 1 |
| 23.67 | 3.759 | 17.3 | 1 0 1 |
| 30.17 | 2.962 | 22.2 | 1 0 2 |
| 38.58 | 2.333 | 11.9 | 1 1 1 |
| 42.95 | 2.106 | 25.4 | 2 0 0 |
| 43.09 | 2.099 | 100.0 | 1 1 2 |
| 43.44 | 2.083 | 24.0 | 0 0 4 |
| 62.74 | 1.481 | 15.4 | 2 0 4 |
| 78.78 | 1.215 | 24.0 | 2 2 0 |
| 79.48 | 1.206 | 14.9 | 1 1 6 |

Structural model:
Cell lengths 4.2116, 2.9763, 8.3327 Å; angles 90.00, 90.00, 90.00 degrees
Space group Pmma (No. 51)
Asymmetric unit:
Mn  0.2500  0.0000  0.1205 [2 per cell]
V  0.2500  0.5000  0.3674 [2 per cell]
V  0.2500  0.5000  0.8841 [2 per cell]
Re  0.2500  0.0000  0.6300 [2 per cell]



Diffraction record for CsLaP2. The X-ray diffraction stick pattern is simulated, not measured: it uses a cell relaxed with PBE and CuKα.
Intensities are scaled so that the largest is 100.

Principal peaks in the range 2θ = 10–80°, in order of rising 2θ:
| 2θ (°) | d_spacing | I_rel | index |
| --- | --- | --- | --- |
| 18.73 | 4.737 | 23.6 | 0 0 4 |
| 23.38 | 3.805 | 100.0 | 1 1 2 |
| 30.42 | 2.938 | 24.2 | 2 0 0 |
| 35.71 | 2.514 | 33.2 | 1 1 6 |
| 35.97 | 2.497 | 33.9 | 2 0 4 |
| 47.80 | 1.903 | 19.7 | 2 2 4 |
| 49.43 | 1.844 | 12.4 | 2 0 8 |
| 50.02 | 1.824 | 25.1 | 3 1 2 |
| 53.12 | 1.724 | 10.5 | 1 1 10 |
| 57.55 | 1.602 | 16.5 | 3 1 6 |

Structural model:
Cell lengths 5.8764, 5.8764, 18.9481 Å; angles 90.00, 90.00, 90.00 degrees
Space group I-42d (No. 122)
Asymmetric unit:
Cs  0.0000  0.0000  0.0000 [4 per cell]
La  0.0000  0.0000  0.5000 [4 per cell]
P  0.0531  0.2500  0.6250 [8 per cell]



Diffraction record for YSn2O4. The X-ray diffraction stick pattern is simulated, not measured: it uses a cell relaxed with PBE and CuKα.
Intensities are scaled so that the largest is 100.

Principal peaks in the range 2θ = 10–80°, in order of rising 2θ:
| 2θ (°) | d_spacing | I_rel | index |
| --- | --- | --- | --- |
| 16.70 | 5.310 | 9.8 | 1 0 1 |
| 26.52 | 3.361 | 9.6 | 1 1 2 |
| 29.04 | 3.075 | 32.7 | 1 0 3 |
| 33.78 | 2.654 | 100.0 | 2 0 2 |
| 45.01 | 2.014 | 17.2 | 1 0 5 |
| 51.64 | 1.770 | 11.4 | 3 0 3 |
| 54.60 | 1.681 | 25.3 | 2 2 4 |
| 54.73 | 1.677 | 14.9 | 2 3 1 |
| 60.47 | 1.531 | 9.6 | 4 0 0 |
| 71.09 | 1.326 | 11.7 | 4 2 2 |

Structural model:
Cell lengths 6.1227, 6.1227, 10.6670 Å; angles 90.00, 90.00, 90.00 degrees
Space group I4_1/a (No. 88, origin choice 2)
Asymmetric unit:
Y  0.0000  0.2500  0.1250 [4 per cell]
Sn  0.0000  0.0000  0.5000 [8 per cell]
O  0.1765  0.4277  0.3221 [16 per cell]



Diffraction record for AcGaNiH. The X-ray diffraction stick pattern is simulated, not measured: it uses a cell relaxed with PBE and CuKα.
Intensities are scaled so that the largest is 100.

Principal peaks in the range 2θ = 10–80°, in order of rising 2θ:
| 2θ (°) | d_spacing | I_rel | index |
| --- | --- | --- | --- |
| 24.06 | 3.698 | 24.4 | 1 0 0 |
| 30.80 | 2.903 | 100.0 | 0 1 1 |
| 38.44 | 2.342 | 13.6 | 0 0 2 |
| 42.33 | 2.135 | 32.9 | 1 1 0 |
| 45.86 | 1.979 | 10.8 | 1 0 2 |
| 53.26 | 1.720 | 21.9 | 2 0 1 |
| 58.50 | 1.578 | 23.9 | 1 1 2 |
| 64.82 | 1.438 | 11.8 | 0 1 3 |
| 70.27 | 1.339 | 19.1 | 1 2 1 |
| 77.41 | 1.233 | 5.5 | 3 0 0 |

Structural model:
Cell lengths 4.2706, 4.2706, 4.6837 Å; angles 90.00, 90.00, 120.00 degrees
Space group P3m1 (No. 156)
Asymmetric unit:
Ac  0.0000  0.0000  0.0000 [1 per cell]
Ga  0.3333  0.6667  0.4881 [1 per cell]
Ni  0.6667  0.3333  0.5431 [1 per cell]
H  0.6667  0.3333  0.8842 [1 per cell]



Diffraction record for Na2Sr4Cu. The X-ray diffraction stick pattern is simulated, not measured: it uses a cell relaxed with PBE and CuKα.
Intensities are scaled so that the largest is 100.

Principal peaks in the range 2θ = 10–80°, in order of rising 2θ:
| 2θ (°) | d_spacing | I_rel | index |
| --- | --- | --- | --- |
| 24.15 | 3.685 | 24.3 | 1 1 0 |
| 24.46 | 3.640 | 57.9 | 1 0 2 |
| 26.64 | 3.347 | 23.5 | 0 0 3 |
| 26.98 | 3.305 | 42.8 | 1 1 1 |
| 27.83 | 3.206 | 100.0 | 1 1 -2 |
| 28.88 | 3.091 | 44.3 | 2 0 1 |
| 32.63 | 2.744 | 21.2 | 1 0 3 |
| 38.94 | 2.313 | 21.1 | 1 1 3 |
| 41.97 | 2.153 | 22.8 | 0 2 0 |
| 42.09 | 2.147 | 28.6 | 3 1 -1 |

Structural model:
Cell lengths 7.4414, 4.3052, 10.4799 Å; angles 90.00, 106.67, 90.00 degrees
Space group P2/m (No. 10)
Asymmetric unit:
Na  0.2498  0.0000  0.0006 [2 per cell]
Sr  0.1471  0.0000  0.3532 [2 per cell]
Sr  0.3817  0.5000  0.7111 [2 per cell]
Cu  0.0000  0.5000  0.5000 [1 per cell]



Diffraction record for TbThNiRh. The X-ray diffraction stick pattern is simulated, not measured: it uses a cell relaxed with PBE and CuKα.
Intensities are scaled so that the largest is 100.

Principal peaks in the range 2θ = 10–80°, in order of rising 2θ:
| 2θ (°) | d_spacing | I_rel | index |
| --- | --- | --- | --- |
| 26.45 | 3.369 | 28.7 | 1 0 2 |
| 32.36 | 2.767 | 100.0 | 1 1 1 |
| 34.68 | 2.586 | 30.8 | 0 0 4 |
| 35.30 | 2.543 | 29.1 | 0 1 3 |
| 40.36 | 2.235 | 14.6 | 1 0 4 |
| 40.63 | 2.220 | 28.6 | 2 0 0 |
| 40.90 | 2.207 | 50.8 | 1 1 3 |
| 48.36 | 1.882 | 21.1 | 0 2 0 |
| 54.47 | 1.685 | 17.1 | 2 0 4 |
| 54.90 | 1.672 | 16.8 | 2 1 3 |

Structural model:
Cell lengths 4.4407, 3.7647, 10.3451 Å; angles 90.00, 90.00, 90.00 degrees
Space group Amm2 (No. 38)
Asymmetric unit:
Tb  0.0000  0.0000  0.0000 [2 per cell]
Th  0.5000  0.0000  0.2755 [2 per cell]
Ni  0.0000  0.0000  0.7220 [2 per cell]
Rh  0.5000  0.0000  0.5500 [2 per cell]



Diffraction record for Tl8TeSe2S. The X-ray diffraction stick pattern is simulated, not measured: it uses a cell relaxed with PBE and CuKα.
Intensities are scaled so that the largest is 100.

Principal peaks in the range 2θ = 10–80°, in order of rising 2θ:
| 2θ (°) | d_spacing | I_rel | index |
| --- | --- | --- | --- |
| 25.09 | 3.549 | 100.0 | 0 2 0 |
| 28.34 | 3.149 | 25.6 | 2 0 0 |
| 29.97 | 2.982 | 97.0 | 1 -1 2 |
| 30.19 | 2.960 | 50.4 | 2 2 0 |
| 33.32 | 2.689 | 15.8 | 2 1 2 |
| 40.66 | 2.219 | 20.1 | 0 0 4 |
| 40.89 | 2.207 | 41.7 | 1 3 2 |
| 45.09 | 2.011 | 29.0 | 2 -2 0 |
| 50.35 | 1.812 | 17.8 | -1 3 2 |
| 51.47 | 1.775 | 19.4 | 2 2 4 |

Structural model:
Cell lengths 6.7778, 7.6317, 8.8749 Å; angles 89.99, 89.97, 68.28 degrees
Space group P-1 (No. 2)
Asymmetric unit:
Tl  0.2190  0.2365  0.0008 [2 per cell]
Tl  0.2264  0.7591  0.2718 [2 per cell]
Tl  0.2260  0.7588  0.7282 [2 per cell]
Tl  0.2337  0.2671  0.4992 [2 per cell]
Te  0.5000  0.5000  0.0000 [1 per cell]
Se  0.4987  0.0008  0.7453 [2 per cell]
S  0.5000  0.5000  0.5000 [1 per cell]



Diffraction record for Li2ThPd2. The X-ray diffraction stick pattern is simulated, not measured: it uses a cell relaxed with PBE and CuKα.
Intensities are scaled so that the largest is 100.

Principal peaks in the range 2θ = 10–80°, in order of rising 2θ:
| 2θ (°) | d_spacing | I_rel | index |
| --- | --- | --- | --- |
| 13.21 | 6.703 | 100.0 | 0 0 2 |
| 30.83 | 2.900 | 71.8 | 1 1 3 |
| 33.24 | 2.696 | 58.4 | 2 0 0 |
| 35.91 | 2.501 | 43.2 | 2 0 2 |
| 41.16 | 2.193 | 67.7 | 1 1 5 |
| 47.71 | 1.906 | 23.4 | 2 2 0 |
| 49.73 | 1.833 | 15.0 | 2 2 2 |
| 53.55 | 1.711 | 10.7 | 1 1 7 |
| 57.89 | 1.593 | 24.6 | 3 1 3 |
| 64.81 | 1.439 | 35.5 | 3 1 5 |

Structural model:
Cell lengths 5.3864, 5.3958, 13.4053 Å; angles 90.00, 90.00, 90.00 degrees
Space group Fmmm (No. 69)
Asymmetric unit:
Li  0.2500  0.2500  0.2500 [8 per cell]
Th  0.0000  0.0000  0.0000 [4 per cell]
Pd  0.0000  0.0000  0.3960 [8 per cell]